This entry pairs a crystal structure of DyCuTe3Pb with its simulated powder XRD pattern. Radiation: Cu Kα (λ = 1.5418 Å). Structure: a structure optimized by DFT (GGA-PBE).

Peak list (10 most intense, 10° ≤ 2θ ≤ 80°, low angle first)
hkl	two_theta	I (rel.)
0 2 3	26.74	28
1 3 0	27.75	29
1 3 1	28.88	100
0 0 4	31.84	36
1 3 2	32.07	79
1 1 3	32.34	44
0 6 2	40.37	39
2 0 0	42.23	36
1 3 5	49.47	30
2 6 2	59.87	35

a b c (Å): 4.280 14.610 11.242
angles (deg): 90.00 90.00 90.00
Space group Cmcm (No. 63)
Inequivalent atoms, fractional coordinates:
1 Dy 0.000 0.000 0.000 [4 per cell]
2 Cu 0.000 0.468 0.250 [4 per cell]
3 Te 0.000 0.081 0.250 [4 per cell]
4 Te 0.000 0.356 0.064 [8 per cell]
5 Pb 0.000 0.239 0.750 [4 per cell]

This entry pairs a crystal structure of PrDyCu2Sb4 with its simulated powder XRD pattern. Radiation: Cu Kα (λ = 1.5418 Å). Structure: a structure optimized by DFT (GGA-PBE).

Peak list (10 most intense, 10° ≤ 2θ ≤ 80°, low angle first)
hkl	two_theta	I (rel.)
1 0 2	27.19	15
1 1 1	30.41	13
1 0 3	33.91	21
1 1 2	34.24	100
2 0 0	41.52	42
1 0 5	50.28	21
2 1 3	54.65	11
2 2 0	60.17	14
2 1 5	67.18	14
3 1 2	71.09	23

a b c (Å): 4.350 4.350 9.987
angles (deg): 90.00 90.00 90.00
Space group P4mm (No. 99)
Inequivalent atoms, fractional coordinates:
1 Pr 0.000 0.000 0.000 [1 per cell]
2 Dy 0.500 0.500 0.498 [1 per cell]
3 Cu 0.000 0.500 0.259 [2 per cell]
4 Sb 0.000 0.000 0.415 [1 per cell]
5 Sb 0.000 0.500 0.743 [2 per cell]
6 Sb 0.500 0.500 0.102 [1 per cell]

This entry pairs a crystal structure of RbDy2CuTe3S with its simulated powder XRD pattern. Radiation: Cu Kα (λ = 1.5418 Å). Structure: a structure optimized by DFT (GGA-PBE).

Peak list (10 most intense, 10° ≤ 2θ ≤ 80°, low angle first)
hkl	two_theta	I (rel.)
0 2 1	13.25	46
0 2 4	26.03	38
1 3 1	28.39	100
1 3 2	30.15	70
0 2 5	31.39	31
1 3 3	32.88	33
0 0 6	34.87	32
0 6 3	40.52	59
1 5 3	41.12	54
2 0 0	42.81	43

a b c (Å): 4.224 14.825 15.437
angles (deg): 90.00 90.00 90.00
Space group Cmcm (No. 63)
Inequivalent atoms, fractional coordinates:
1 Rb 0.000 0.125 0.250 [4 per cell]
2 Dy 0.000 0.382 0.060 [8 per cell]
3 Cu 0.000 0.161 0.750 [4 per cell]
4 Te 0.000 0.258 0.607 [8 per cell]
5 Te 0.000 0.441 0.250 [4 per cell]
6 S 0.000 0.000 0.000 [4 per cell]

This entry pairs a crystal structure of RbDy2CuTeS3 with its simulated powder XRD pattern. Radiation: Cu Kα (λ = 1.5418 Å). Structure: a structure optimized by DFT (GGA-PBE).

Peak list (10 most intense, 10° ≤ 2θ ≤ 80°, low angle first)
hkl	two_theta	I (rel.)
0 2 1	14.01	42
0 2 3	22.64	48
0 0 4	25.07	26
1 3 1	29.63	45
1 3 2	31.62	100
0 2 5	34.01	29
1 1 5	39.14	24
1 3 5	43.29	24
1 5 3	43.40	32
2 0 0	44.35	23

a b c (Å): 4.085 14.114 14.209
angles (deg): 90.00 90.00 90.00
Space group Cmcm (No. 63)
Inequivalent atoms, fractional coordinates:
1 Rb 0.000 0.134 0.250 [4 per cell]
2 Dy 0.000 0.367 0.051 [8 per cell]
3 Cu 0.000 0.168 0.750 [4 per cell]
4 Te 0.000 0.443 0.250 [4 per cell]
5 S 0.000 0.000 0.000 [4 per cell]
6 S 0.000 0.252 0.605 [8 per cell]

This entry pairs a crystal structure of RbDyCuSe5 with its simulated powder XRD pattern. Radiation: Cu Kα (λ = 1.5418 Å). Structure: a structure optimized by DFT (GGA-PBE).

Peak list (10 most intense, 10° ≤ 2θ ≤ 80°, low angle first)
hkl	two_theta	I (rel.)
1 0 0	14.30	73
1 2 0	25.91	64
1 0 -3	28.52	70
1 2 1	29.25	100
2 2 0	36.24	33
0 2 3	36.68	44
2 2 -2	36.85	54
2 2 1	39.93	31
0 4 0	43.77	57
1 4 -3	53.06	35

a b c (Å): 6.495 8.272 9.571
angles (deg): 90.00 107.59 90.00
Space group P2_1/m (No. 11)
Inequivalent atoms, fractional coordinates:
1 Rb 0.213 0.250 0.024 [2 per cell]
2 Dy 0.500 0.000 0.500 [2 per cell]
3 Cu 0.208 0.250 0.629 [2 per cell]
4 Se 0.167 0.750 0.385 [2 per cell]
5 Se 0.194 0.250 0.377 [2 per cell]
6 Se 0.359 0.508 0.764 [4 per cell]
7 Se 0.413 0.750 0.213 [2 per cell]

This entry pairs a crystal structure of SrDyCuS3 with its simulated powder XRD pattern. Radiation: Cu Kα (λ = 1.5418 Å). Structure: a structure optimized by DFT (GGA-PBE).

Peak list (10 most intense, 10° ≤ 2θ ≤ 80°, low angle first)
hkl	two_theta	I (rel.)
0 0 1	11.32	28
2 0 1	17.01	23
2 0 2	27.14	22
3 1 0	27.53	49
6 0 -1	31.00	20
6 0 0	31.48	31
1 1 -2	31.84	100
5 1 1	38.55	21
2 0 -4	45.26	40
0 2 0	46.03	23

a b c (Å): 17.489 3.944 8.015
angles (deg): 90.00 102.86 90.00
Space group C2/m (No. 12)
Inequivalent atoms, fractional coordinates:
1 Sr 0.128 0.000 0.071 [4 per cell]
2 Dy 0.162 0.000 0.583 [4 per cell]
3 Cu 0.035 0.500 0.711 [4 per cell]
4 S 0.000 0.000 0.500 [2 per cell]
5 S 0.000 0.500 0.000 [2 per cell]
6 S 0.171 0.500 0.819 [4 per cell]
7 S 0.176 0.500 0.356 [4 per cell]